Diffraction record for Pr2NdSi2Ge2Pd4. The X-ray powder pattern is calculated, not measured: it uses a crystal structure in OQMD, relaxed with PBE and Cu Kα (λ = 1.5418 Å).

Largest 10 diffraction maxima, by angle, 2θ = 15–90°:
32.88°, d = 2.724 Å, intensity 40; 33.01°, d = 2.714 Å, intensity 100; 41.86°, d = 2.158 Å, intensity 26; 43.03°, d = 2.102 Å, intensity 24; 45.02°, d = 2.014 Å, intensity 20; 54.23°, d = 1.692 Å, intensity 19; 61.60°, d = 1.506 Å, intensity 16; 64.04°, d = 1.454 Å, intensity 13; 70.85°, d = 1.330 Å, intensity 11; 72.49°, d = 1.304 Å, intensity 14

Lattice parameters (Å, degrees): 12.878 12.878 12.878 161.21 160.71 27.06
Fractional coordinates of all 11 atoms:
Pr (0.146, 0.146, 0.000)
Pr (0.854, 0.854, 0.000)
Nd (0.500, 0.000, 0.500)
Si (0.048, 0.548, 0.500)
Si (0.952, 0.452, 0.500)
Ge (0.306, 0.306, 0.000)
Ge (0.694, 0.694, 0.000)
Pd (0.250, 0.750, 0.500)
Pd (0.407, 0.407, 0.000)
Pd (0.593, 0.593, 0.000)
Pd (0.750, 0.250, 0.500)



Diffraction record for Y10Al3Ir. The X-ray powder pattern is calculated, not measured: it uses a crystal structure in OQMD, relaxed with PBE and Cu Kα (λ = 1.5418 Å).

Largest 10 diffraction maxima, by angle, 2θ = 15–90°:
21.34°, d = 4.164 Å, intensity 24; 28.40°, d = 3.143 Å, intensity 23; 29.91°, d = 2.987 Å, intensity 43; 33.67°, d = 2.662 Å, intensity 38; 34.09°, d = 2.630 Å, intensity 100; 35.35°, d = 2.539 Å, intensity 44; 37.49°, d = 2.399 Å, intensity 25; 40.19°, d = 2.244 Å, intensity 25; 57.64°, d = 1.599 Å, intensity 20; 58.78°, d = 1.571 Å, intensity 21

Lattice parameters (Å, degrees): 9.596 9.596 9.623 90.00 90.00 120.00
Fractional coordinates of all 28 atoms:
Y (0.000, 0.000, 0.000)
Y (0.000, 0.000, 0.500)
Y (0.081, 0.541, 0.250)
Y (0.207, 0.414, 0.558)
Y (0.207, 0.414, 0.942)
Y (0.207, 0.793, 0.558)
Y (0.207, 0.793, 0.942)
Y (0.414, 0.207, 0.058)
Y (0.414, 0.207, 0.442)
Y (0.459, 0.541, 0.250)
Y (0.459, 0.919, 0.250)
Y (0.541, 0.081, 0.750)
Y (0.541, 0.459, 0.750)
Y (0.586, 0.793, 0.558)
Y (0.586, 0.793, 0.942)
Y (0.793, 0.207, 0.058)
Y (0.793, 0.207, 0.442)
Y (0.793, 0.586, 0.058)
Y (0.793, 0.586, 0.442)
Y (0.919, 0.459, 0.750)
Al (0.112, 0.225, 0.250)
Al (0.112, 0.888, 0.250)
Al (0.225, 0.112, 0.750)
Al (0.775, 0.888, 0.250)
Al (0.888, 0.112, 0.750)
Al (0.888, 0.775, 0.750)
Ir (0.333, 0.667, 0.750)
Ir (0.667, 0.333, 0.250)



Diffraction record for Na3NbSe2S2. The X-ray powder pattern is calculated, not measured: it uses a crystal structure in OQMD, relaxed with PBE and Cu Kα (λ = 1.5418 Å).

Largest 10 diffraction maxima, by angle, 2θ = 15–90°:
17.77°, d = 4.991 Å, intensity 51; 17.96°, d = 4.940 Å, intensity 56; 21.88°, d = 4.062 Å, intensity 81; 22.21°, d = 4.003 Å, intensity 66; 28.58°, d = 3.124 Å, intensity 31; 31.18°, d = 2.868 Å, intensity 36; 31.62°, d = 2.830 Å, intensity 32; 36.37°, d = 2.470 Å, intensity 100; 38.87°, d = 2.317 Å, intensity 39; 46.89°, d = 1.938 Å, intensity 68

Lattice parameters (Å, degrees): 6.982 6.982 6.992 90.00 90.00 91.27
Fractional coordinates of all 8 atoms:
Na (0.000, 0.000, 0.000)
Na (0.000, 0.500, 0.520)
Na (0.500, 0.000, 0.520)
Nb (0.000, 0.000, 0.508)
Se (0.204, 0.204, 0.308)
Se (0.796, 0.796, 0.308)
S (0.186, 0.814, 0.700)
S (0.814, 0.186, 0.700)



Diffraction record for BaSrCdAsP. The X-ray powder pattern is calculated, not measured: it uses a crystal structure in OQMD, relaxed with PBE and Cu Kα (λ = 1.5418 Å).

Largest 10 diffraction maxima, by angle, 2θ = 15–90°:
15.29°, d = 5.796 Å, intensity 38; 24.70°, d = 3.605 Å, intensity 50; 27.80°, d = 3.209 Å, intensity 100; 30.47°, d = 2.934 Å, intensity 42; 33.22°, d = 2.697 Å, intensity 67; 34.05°, d = 2.633 Å, intensity 59; 35.13°, d = 2.554 Å, intensity 27; 35.41°, d = 2.535 Å, intensity 39; 40.23°, d = 2.241 Å, intensity 41; 55.38°, d = 1.659 Å, intensity 28

Lattice parameters (Å, degrees): 8.731 8.731 7.973 90.00 90.00 150.25
Fractional coordinates of all 10 atoms:
Ba (0.043, 0.957, 0.500)
Ba (0.957, 0.043, 0.000)
Sr (0.200, 0.800, 0.843)
Sr (0.800, 0.200, 0.343)
Cd (0.401, 0.599, 0.640)
Cd (0.599, 0.401, 0.140)
As (0.182, 0.818, 0.227)
As (0.818, 0.182, 0.727)
P (0.438, 0.562, 0.304)
P (0.562, 0.438, 0.804)



Diffraction record for PrScAu. The X-ray powder pattern is calculated, not measured: it uses a crystal structure in OQMD, relaxed with PBE and Cu Kα (λ = 1.5418 Å).

Largest 10 diffraction maxima, by angle, 2θ = 15–90°:
22.76°, d = 3.907 Å, intensity 28; 27.01°, d = 3.302 Å, intensity 100; 31.56°, d = 2.835 Å, intensity 80; 37.10°, d = 2.423 Å, intensity 52; 38.56°, d = 2.335 Å, intensity 67; 42.66°, d = 2.119 Å, intensity 44; 50.65°, d = 1.802 Å, intensity 43; 55.68°, d = 1.651 Å, intensity 23; 58.85°, d = 1.569 Å, intensity 35; 78.58°, d = 1.217 Å, intensity 24

Lattice parameters (Å, degrees): 4.669 4.669 7.136 90.00 90.00 90.00
Fractional coordinates of all 6 atoms:
Pr (0.250, 0.250, 0.126)
Pr (0.750, 0.750, 0.874)
Sc (0.250, 0.750, 0.500)
Sc (0.750, 0.250, 0.500)
Au (0.250, 0.250, 0.715)
Au (0.750, 0.750, 0.285)



Diffraction record for SrNdTe2AuSe. The X-ray powder pattern is calculated, not measured: it uses a crystal structure in OQMD, relaxed with PBE and Cu Kα (λ = 1.5418 Å).

Largest 10 diffraction maxima, by angle, 2θ = 15–90°:
27.01°, d = 3.301 Å, intensity 20; 27.26°, d = 3.272 Å, intensity 18; 27.37°, d = 3.258 Å, intensity 19; 28.59°, d = 3.122 Å, intensity 52; 31.99°, d = 2.798 Å, intensity 100; 32.78°, d = 2.732 Å, intensity 46; 40.31°, d = 2.238 Å, intensity 32; 41.88°, d = 2.157 Å, intensity 31; 44.54°, d = 2.034 Å, intensity 21; 54.19°, d = 1.693 Å, intensity 17

Lattice parameters (Å, degrees): 7.760 7.760 10.923 90.00 90.00 147.72
Fractional coordinates of all 12 atoms:
Sr (0.237, 0.763, 0.750)
Sr (0.763, 0.237, 0.250)
Nd (0.500, 0.500, 0.000)
Nd (0.500, 0.500, 0.500)
Te (0.151, 0.849, 0.059)
Te (0.151, 0.849, 0.441)
Te (0.849, 0.151, 0.559)
Te (0.849, 0.151, 0.941)
Au (0.028, 0.972, 0.250)
Au (0.972, 0.028, 0.750)
Se (0.416, 0.584, 0.250)
Se (0.584, 0.416, 0.750)



What is the formula in the third record? Na3NbSe2S2